# NbVNi
Theoretical powder diffraction line list, Cu Kα. Input: a DFT-relaxed cell (PBE, the Materials Project).

Main lines, low angle first (2θ from 10° to 90°):
hkl, 2θ (°), I/Imax
0 1 3, 36.7, 50
3 0 2, 39.6, 78
2 2 0, 43.2, 100
1 2 2, 44.1, 58
3 2 4, 68.0, 27
5 2 2, 73.6, 26

Structure:
a b c (Å): 8.0923 4.8989 8.4877
angles (deg): 90.00 90.00 90.00
Space group Amm2 (No. 38)
Asymmetric unit:
Nb  0.1835  0.0000  0.0000 (multiplicity 4)
Nb  0.3046  0.0000  0.6646 (multiplicity 4)
V  0.0000  0.0000  0.4821 (multiplicity 2)
V  0.5000  0.0000  0.1511 (multiplicity 2)
V  0.5000  0.2464  0.9090 (multiplicity 4)
Ni  0.0000  0.2447  0.7313 (multiplicity 4)
Ni  0.2451  0.0000  0.3236 (multiplicity 4)

=====

# LiSnP4O12
Theoretical powder diffraction line list, Cu Kα. Input: a DFT-relaxed cell (PBE, the Materials Project).

Main lines, low angle first (2θ from 10° to 90°):
hkl, 2θ (°), I/Imax
1 0 0, 13.6, 87
0 1 1, 18.5, 62
0 0 2, 19.2, 33
-2 1 1, 23.9, 58
1 1 -3, 28.3, 100
2 -1 1, 29.1, 34

Structure:
a b c (Å): 7.5797 7.5962 10.2318
angles (deg): 99.65 108.30 110.48
Space group P1 (No. 1)
Asymmetric unit:
Li  0.0000  0.0000  0.0000 (multiplicity 1)
Li  0.4896  0.0004  0.4986 (multiplicity 1)
Sn  0.2471  0.4994  0.2487 (multiplicity 1)
Sn  0.2478  0.0001  0.7486 (multiplicity 1)
P  0.2380  0.6787  0.9373 (multiplicity 1)
P  0.2488  0.3159  0.5564 (multiplicity 1)
P  0.5112  0.7226  0.7707 (multiplicity 1)
P  0.5450  0.2551  0.2716 (multiplicity 1)
P  0.7398  0.3062  0.0593 (multiplicity 1)
P  0.7553  0.6928  0.4374 (multiplicity 1)
P  0.9485  0.7445  0.2258 (multiplicity 1)
P  0.9777  0.2727  0.7236 (multiplicity 1)
O  0.0353  0.4950  0.8152 (multiplicity 1)
O  0.0592  0.3134  0.5958 (multiplicity 1)
O  0.1124  0.1967  0.8212 (multiplicity 1)
O  0.1226  0.7081  0.3243 (multiplicity 1)
O  0.2018  0.8607  0.9210 (multiplicity 1)
O  0.2071  0.3407  0.4092 (multiplicity 1)
O  0.2830  0.1325  0.5711 (multiplicity 1)
O  0.2836  0.6561  0.0854 (multiplicity 1)
O  0.3682  0.2905  0.1757 (multiplicity 1)
O  0.3817  0.8019  0.6724 (multiplicity 1)
O  0.4235  0.6784  0.8947 (multiplicity 1)
O  0.4510  0.4987  0.6795 (multiplicity 1)
O  0.5035  0.0971  0.3386 (multiplicity 1)
O  0.5549  0.7075  0.4230 (multiplicity 1)
O  0.5670  0.2035  0.9122 (multiplicity 1)
O  0.6773  0.2234  0.1803 (multiplicity 1)
O  0.7162  0.4656  0.3954 (multiplicity 1)
O  0.7373  0.8306  0.8422 (multiplicity 1)
O  0.7520  0.1626  0.6564 (multiplicity 1)
O  0.7823  0.5340  0.1003 (multiplicity 1)
O  0.8140  0.7763  0.3154 (multiplicity 1)
O  0.9277  0.7989  0.5842 (multiplicity 1)
O  0.9382  0.2864  0.0741 (multiplicity 1)
O  0.9890  0.9010  0.1578 (multiplicity 1)